This entry pairs a crystal structure of Hg2AsPO7 with its computed XRD peak list. Radiation: Cu Ka. Structure: DFT lattice parameters and positions (GGA-PBE).
Peak positions follow from Bragg's law for the DFT cell and can differ from measured ones.

Structural model:
Cell: 7.0254 8.9972 4.7874 Å, 90.00 100.41 90.00°
Space group Cm (No. 8)
Unique sites:
Hg  0.0000  0.2007  0.0000 [4 per cell]
As  0.2959  0.0000  0.5716 [2 per cell]
P  0.2332  0.5000  0.4190 [2 per cell]
O  0.0523  0.5000  0.5784 [2 per cell]
O  0.1825  0.0000  0.2268 [2 per cell]
O  0.2314  0.3584  0.2379 [4 per cell]
O  0.2655  0.1629  0.7385 [4 per cell]
O  0.4090  0.5000  0.6620 [2 per cell]

Principal peaks in the range 15° ≤ 2θ ≤ 90°, low angle first:
2θ = 18.85°, rel. 460, (0 0 1)
2θ = 26.67°, rel. 251, (1 1 1)
2θ = 27.42°, rel. 1000, (0 2 1)
2θ = 29.17°, rel. 601, (2 0 -1)
2θ = 32.55°, rel. 369, (1 3 0)
2θ = 32.68°, rel. 491, (2 2 0)
2θ = 34.88°, rel. 231, (2 0 1)
2θ = 53.00°, rel. 299, (4 0 0)

This entry pairs a crystal structure of Gd3Tl4Pb3 with its computed XRD peak list. Radiation: Cu Ka. Structure: DFT lattice parameters and positions (GGA-PBE).
Peak positions follow from Bragg's law for the DFT cell and can differ from measured ones.

Structural model:
Cell: 4.7498 24.8767 4.7209 Å, 90.00 90.00 90.00°
Space group Cmmm (No. 65)
Unique sites:
Gd  0.0000  0.0000  0.0000 [2 per cell]
Gd  0.0000  0.1908  0.0000 [4 per cell]
Tl  0.0000  0.2926  0.5000 [4 per cell]
Tl  0.0000  0.4000  0.0000 [4 per cell]
Pb  0.0000  0.0989  0.5000 [4 per cell]
Pb  0.0000  0.5000  0.5000 [2 per cell]

Principal peaks in the range 15° ≤ 2θ ≤ 90°, low angle first:
2θ = 32.22°, rel. 1000, (1 5 1)
2θ = 36.11°, rel. 172, (0 10 0)
2θ = 37.88°, rel. 167, (2 0 0)
2θ = 38.12°, rel. 164, (0 0 2)
2θ = 54.84°, rel. 116, (2 0 2)
2θ = 62.50°, rel. 126, (1 15 1)
2θ = 64.88°, rel. 138, (3 5 1)
2θ = 65.21°, rel. 136, (1 5 3)

This entry pairs a crystal structure of Nd6SbS2 with its computed XRD peak list. Radiation: Cu Ka. Structure: DFT lattice parameters and positions (GGA-PBE).
Peak positions follow from Bragg's law for the DFT cell and can differ from measured ones.

Structural model:
Cell: 5.3620 5.3620 11.0147 Å, 90.00 90.00 90.00°
Space group P4/mmm (No. 123)
Unique sites:
Nd  0.0000  0.0000  0.0000 [1 per cell]
Nd  0.0000  0.0000  0.5000 [1 per cell]
Nd  0.0000  0.5000  0.1977 [4 per cell]
Sb  0.5000  0.5000  0.0000 [1 per cell]
S  0.0000  0.0000  0.2561 [2 per cell]

Principal peaks in the range 15° ≤ 2θ ≤ 90°, low angle first:
2θ = 16.53°, rel. 169, (1 0 0)
2θ = 28.58°, rel. 1000, (1 1 2)
2θ = 33.42°, rel. 577, (2 0 0)
2θ = 33.99°, rel. 370, (1 1 3)
2θ = 47.32°, rel. 149, (2 0 4)
2θ = 47.99°, rel. 207, (2 2 0)
2θ = 56.81°, rel. 303, (3 1 2)
2θ = 60.11°, rel. 142, (3 1 3)

This entry pairs a crystal structure of YLuIn2Ni4 with its computed XRD peak list. Radiation: Cu Ka. Structure: DFT lattice parameters and positions (GGA-PBE).
Peak positions follow from Bragg's law for the DFT cell and can differ from measured ones.

Structural model:
Cell: 3.9879 5.0559 6.9697 Å, 90.00 90.00 90.00°
Space group Pmm2 (No. 25)
Unique sites:
Y  0.0000  0.0000  0.0000 [1 per cell]
Lu  0.0000  0.5000  0.4684 [1 per cell]
In  0.5000  0.0000  0.3743 [1 per cell]
In  0.5000  0.5000  0.0889 [1 per cell]
Ni  0.0000  0.0000  0.6154 [1 per cell]
Ni  0.0000  0.5000  0.8421 [1 per cell]
Ni  0.5000  0.2529  0.7270 [2 per cell]

Principal peaks in the range 15° ≤ 2θ ≤ 90°, low angle first:
2θ = 31.32°, rel. 1000, (1 1 1)
2θ = 34.17°, rel. 312, (1 0 2)
2θ = 35.51°, rel. 342, (0 2 0)
2θ = 38.66°, rel. 750, (1 1 2)
2θ = 42.84°, rel. 351, (0 1 3)
2θ = 44.26°, rel. 263, (0 2 2)
2θ = 44.37°, rel. 379, (1 2 1)
2θ = 45.49°, rel. 390, (2 0 0)

This entry pairs a crystal structure of Dy2AgS3 with its computed XRD peak list. Radiation: Cu Ka. Structure: DFT lattice parameters and positions (GGA-PBE).
Peak positions follow from Bragg's law for the DFT cell and can differ from measured ones.

Structural model:
Cell: 10.1504 3.8330 13.0284 Å, 90.00 90.00 90.00°
Space group Pnma (No. 62)
Unique sites:
Dy  0.0255  0.2500  0.2460 [4 per cell]
Dy  0.2163  0.7500  0.5217 [4 per cell]
Ag  0.2247  0.2500  0.7378 [4 per cell]
S  0.0389  0.2500  0.6053 [4 per cell]
S  0.1004  0.7500  0.1035 [4 per cell]
S  0.2315  0.7500  0.8659 [4 per cell]

Principal peaks in the range 15° ≤ 2θ ≤ 90°, low angle first:
2θ = 22.21°, rel. 386, (2 0 2)
2θ = 27.38°, rel. 363, (0 0 4)
2θ = 30.01°, rel. 429, (2 1 1)
2θ = 32.36°, rel. 637, (1 1 3)
2θ = 35.37°, rel. 230, (4 0 0)
2θ = 35.91°, rel. 1000, (2 1 3)
2θ = 36.07°, rel. 267, (4 0 1)
2θ = 47.44°, rel. 232, (0 2 0)

This entry pairs a crystal structure of MgGaW2 with its computed XRD peak list. Radiation: Cu Ka. Structure: DFT lattice parameters and positions (GGA-PBE).
Peak positions follow from Bragg's law for the DFT cell and can differ from measured ones.

Structural model:
Cell: 6.3481 6.3481 6.3481 Å, 90.00 90.00 90.00°
Space group F-43m (No. 216)
Unique sites:
Mg  0.0000  0.0000  0.0000 [4 per cell]
Ga  0.2500  0.2500  0.7500 [4 per cell]
W  0.0000  0.0000  0.5000 [4 per cell]
W  0.2500  0.2500  0.2500 [4 per cell]

Principal peaks in the range 15° ≤ 2θ ≤ 90°, low angle first:
2θ = 24.28°, rel. 409, (1 1 1)
2θ = 40.18°, rel. 1000, (2 2 0)
2θ = 47.50°, rel. 211, (3 1 1)
2θ = 58.13°, rel. 170, (4 0 0)
2θ = 63.92°, rel. 89, (3 3 1)
2θ = 73.02°, rel. 345, (4 2 2)
2θ = 78.25°, rel. 68, (5 1 1)
2θ = 86.78°, rel. 112, (4 4 0)

This entry pairs a crystal structure of La2PrNi9 with its computed XRD peak list. Radiation: Cu Ka. Structure: DFT lattice parameters and positions (GGA-PBE).
Peak positions follow from Bragg's law for the DFT cell and can differ from measured ones.

Structural model:
Cell: 4.9357 9.1924 8.3589 Å, 90.00 90.00 90.00°
Space group Cmmm (No. 65)
Unique sites:
La  0.0000  0.0000  0.2092 [4 per cell]
Pr  0.0000  0.5000  0.5000 [2 per cell]
Ni  0.0000  0.3003  0.2425 [8 per cell]
Ni  0.0000  0.5000  0.0000 [2 per cell]
Ni  0.2500  0.2500  0.0000 [4 per cell]
Ni  0.2500  0.2500  0.5000 [4 per cell]

Principal peaks in the range 15° ≤ 2θ ≤ 90°, low angle first:
2θ = 23.05°, rel. 208, (1 1 1)
2θ = 29.65°, rel. 738, (1 1 2)
2θ = 39.20°, rel. 439, (0 4 0)
2θ = 40.84°, rel. 1000, (1 3 2)
2θ = 41.53°, rel. 312, (2 2 0)
2θ = 42.54°, rel. 312, (2 0 2)
2θ = 43.30°, rel. 366, (0 0 4)
2θ = 47.12°, rel. 287, (2 2 2)

This entry pairs a crystal structure of Zr4Nb2Au3N3 with its computed XRD peak list. Radiation: Cu Ka. Structure: DFT lattice parameters and positions (GGA-PBE).
Peak positions follow from Bragg's law for the DFT cell and can differ from measured ones.

Structural model:
Cell: 9.8508 5.7199 14.1022 Å, 90.00 103.51 90.00°
Space group C2/c (No. 15)
Unique sites:
Zr  0.1152  0.0806  0.0955 [8 per cell]
Zr  0.2169  0.0858  0.4044 [8 per cell]
Nb  0.0588  0.4167  0.9269 [8 per cell]
Au  0.0000  0.1215  0.7500 [4 per cell]
Au  0.1482  0.4338  0.2500 [8 per cell]
N  0.0867  0.2391  0.5000 [8 per cell]
N  0.2500  0.2500  0.0000 [4 per cell]

Principal peaks in the range 15° ≤ 2θ ≤ 90°, low angle first:
2θ = 31.41°, rel. 237, (3 1 -1)
2θ = 37.08°, rel. 511, (0 2 3)
2θ = 37.20°, rel. 1000, (3 1 -4)
2θ = 39.44°, rel. 284, (0 0 6)
2θ = 51.20°, rel. 149, (3 1 -7)
2θ = 55.75°, rel. 200, (3 3 -1)
2θ = 70.01°, rel. 193, (0 2 9)
2θ = 70.41°, rel. 160, (3 3 -7)

This entry pairs a crystal structure of PrCo4Br with its computed XRD peak list. Radiation: Cu Ka. Structure: DFT lattice parameters and positions (GGA-PBE).
Peak positions follow from Bragg's law for the DFT cell and can differ from measured ones.

Structural model:
Cell: 6.6735 7.5762 5.1094 Å, 90.00 90.00 90.00°
Space group Cmmm (No. 65)
Unique sites:
Pr  0.0000  0.0000  0.0000 [2 per cell]
Co  0.0000  0.3577  0.0000 [4 per cell]
Co  0.1584  0.0000  0.5000 [4 per cell]
Br  0.0000  0.5000  0.5000 [2 per cell]

Principal peaks in the range 15° ≤ 2θ ≤ 90°, low angle first:
2θ = 23.48°, rel. 1000, (0 2 0)
2θ = 26.72°, rel. 619, (2 0 0)
2θ = 32.04°, rel. 481, (2 0 1)
2θ = 35.13°, rel. 756, (0 0 2)
2θ = 42.15°, rel. 578, (1 3 1)
2θ = 42.69°, rel. 400, (0 2 2)
2θ = 46.09°, rel. 448, (3 1 1)
2θ = 58.14°, rel. 731, (3 3 1)

This entry pairs a crystal structure of KHgC3S3N3 with its computed XRD peak list. Radiation: Cu Ka. Structure: DFT lattice parameters and positions (GGA-PBE).
Peak positions follow from Bragg's law for the DFT cell and can differ from measured ones.

Structural model:
Cell: 11.9389 4.0308 22.0274 Å, 90.00 121.20 90.00°
Space group P2_1/c (No. 14)
Unique sites:
K  0.0946  0.2107  0.1901 [4 per cell]
Hg  0.3553  0.2105  0.5397 [4 per cell]
C  0.1412  0.7437  0.0558 [4 per cell]
C  0.2159  0.2322  0.3730 [4 per cell]
C  0.4027  0.7466  0.8019 [4 per cell]
S  0.1691  0.7170  0.4901 [4 per cell]
S  0.3744  0.2341  0.9322 [4 per cell]
S  0.4417  0.1574  0.6679 [4 per cell]
N  0.1034  0.2081  0.3302 [4 per cell]
N  0.1205  0.7128  0.1024 [4 per cell]
N  0.2902  0.6956  0.2762 [4 per cell]

Principal peaks in the range 15° ≤ 2θ ≤ 90°, low angle first:
2θ = 15.76°, rel. 586, (1 0 2)
2θ = 17.82°, rel. 596, (2 0 -4)
2θ = 22.72°, rel. 456, (3 0 -2)
2θ = 23.78°, rel. 947, (1 1 -2)
2θ = 26.69°, rel. 1000, (2 1 -2)
2θ = 28.21°, rel. 543, (2 1 0)
2θ = 32.61°, rel. 830, (2 0 -8)
2θ = 36.26°, rel. 372, (0 1 6)

This entry pairs a crystal structure of Cu2GeSe2S with its computed XRD peak list. Radiation: Cu Ka. Structure: DFT lattice parameters and positions (GGA-PBE).
Peak positions follow from Bragg's law for the DFT cell and can differ from measured ones.

Structural model:
Cell: 3.9726 11.6910 5.4479 Å, 90.00 90.00 90.00°
Space group Imm2 (No. 44)
Unique sites:
Cu  0.0000  0.1589  0.0000 [4 per cell]
Ge  0.0000  0.5000  0.0003 [2 per cell]
Se  0.0000  0.3304  0.7487 [4 per cell]
S  0.0000  0.0000  0.7546 [2 per cell]

Principal peaks in the range 15° ≤ 2θ ≤ 90°, low angle first:
2θ = 27.79°, rel. 874, (1 0 1)
2θ = 28.15°, rel. 842, (0 3 1)
2θ = 45.68°, rel. 216, (2 0 0)
2θ = 46.66°, rel. 1000, (1 3 2)
2θ = 54.52°, rel. 249, (2 3 1)
2θ = 55.14°, rel. 233, (1 6 1)
2θ = 67.32°, rel. 125, (2 6 0)
2θ = 85.20°, rel. 134, (3 3 2)

This entry pairs a crystal structure of In4Pd3Pt with its computed XRD peak list. Radiation: Cu Ka. Structure: DFT lattice parameters and positions (GGA-PBE).
Peak positions follow from Bragg's law for the DFT cell and can differ from measured ones.

Structural model:
Cell: 7.4488 7.4488 9.0702 Å, 90.00 90.00 120.00°
Space group R3 (No. 146, hexagonal axes)
Unique sites:
In  0.0000  0.0000  0.0000 [3 per cell]
In  0.1054  0.3950  0.2094 [9 per cell]
Pd  0.0302  0.7668  0.7750 [9 per cell]
Pt  0.0000  0.0000  0.3050 [3 per cell]

Principal peaks in the range 15° ≤ 2θ ≤ 90°, low angle first:
2θ = 34.11°, rel. 269, (2 0 2)
2θ = 38.22°, rel. 967, (3 -1 1)
2θ = 38.35°, rel. 1000, (1 1 3)
2θ = 42.05°, rel. 719, (3 0 0)
2θ = 42.25°, rel. 282, (1 0 4)
2θ = 66.43°, rel. 359, (4 1 0)
2θ = 66.58°, rel. 188, (4 -3 4)
2θ = 66.79°, rel. 174, (2 -1 6)

This entry pairs a crystal structure of Cu3MoSe2S2 with its computed XRD peak list. Radiation: Cu Ka. Structure: DFT lattice parameters and positions (GGA-PBE).
Peak positions follow from Bragg's law for the DFT cell and can differ from measured ones.

Structural model:
Cell: 12.0360 5.4437 5.4530 Å, 90.00 116.51 90.00°
Space group C2 (No. 5)
Unique sites:
Cu  0.0000  0.0000  0.0000 [2 per cell]
Cu  0.2501  0.0255  0.7249 [4 per cell]
Mo  0.0000  0.5421  0.5000 [2 per cell]
Se  0.1256  0.2784  0.8744 [4 per cell]
S  0.1243  0.7747  0.3770 [4 per cell]

Principal peaks in the range 15° ≤ 2θ ≤ 90°, low angle first:
2θ = 28.41°, rel. 987, (1 1 1)
2θ = 28.56°, rel. 1000, (3 1 -1)
2θ = 47.21°, rel. 668, (2 0 2)
2θ = 47.50°, rel. 446, (4 2 0)
2θ = 47.64°, rel. 220, (6 0 -2)
2θ = 56.09°, rel. 387, (1 3 1)
2θ = 56.44°, rel. 136, (5 1 1)
2θ = 88.19°, rel. 132, (6 4 -2)